# 1
Starting from a crystal structure in Alexandria, relaxed with GGA-PBE, the powder X-ray diffraction pattern of KNp3Tl2S8 was calculated for copper Kα.
Lines closer than 0.1° are merged.

Top 10 peaks for 15° ≤ 2θ ≤ 90°, by angle:
| 2theta | I_rel | hkl |
| --- | --- | --- |
| 23.2 | 53 | 0 1 5 |
| 24.9 | 100 | 1 1 3 |
| 25.7 | 49 | 0 2 1 |
| 26.6 | 47 | 2 0 2 |
| 29.8 | 65 | 0 2 4 |
| 37.6 | 37 | 0 2 7 |
| 39.2 | 34 | 1 2 5 |
| 40.6 | 57 | 2 0 8 |
| 44.7 | 53 | 2 2 0 |
| 51.0 | 44 | 2 2 6 |

Atomic structure:
Lattice parameters (Å, degrees): 8.1090 8.1090 22.9211 90.00 90.00 120.00
Space group R3m (No. 160, hexagonal axes)
Unique sites:
K (0.0000, 0.0000, 0.0000) (multiplicity 3)
Np (0.0004, 0.5002, 0.8655) (multiplicity 9)
Tl (0.0000, 0.0000, 0.3623) (multiplicity 3)
Tl (0.0000, 0.0000, 0.7397) (multiplicity 3)
S (0.0000, 0.0000, 0.1375) (multiplicity 3)
S (0.0000, 0.0000, 0.5922) (multiplicity 3)
S (0.0318, 0.5159, 0.1372) (multiplicity 9)
S (0.1832, 0.3665, 0.9263) (multiplicity 9)

---

# 2
Starting from a crystal structure in Alexandria, relaxed with GGA-PBE, the powder X-ray diffraction pattern of KFeBr4 was calculated for copper Kα.
Lines closer than 0.1° are merged.

Top 10 peaks for 15° ≤ 2θ ≤ 90°, by angle:
| 2theta | I_rel | hkl |
| --- | --- | --- |
| 21.9 | 53 | 1 1 2 |
| 23.5 | 93 | 0 2 2 |
| 25.8 | 80 | 2 1 1 |
| 26.1 | 100 | 0 3 1 |
| 28.4 | 55 | 2 2 0 |
| 28.5 | 92 | 2 0 2 |
| 29.7 | 45 | 2 1 2 |
| 35.3 | 62 | 2 1 3 |
| 42.7 | 58 | 2 3 3 |
| 43.9 | 46 | 1 3 4 |

Atomic structure:
Lattice parameters (Å, degrees): 7.7393 10.8272 10.6221 90.00 90.00 90.00
Space group Pnna (No. 52)
Unique sites:
K (0.1708, 0.2500, 0.2500) (multiplicity 4)
Fe (0.2500, 0.0000, 0.6795) (multiplicity 4)
Br (0.0065, 0.0374, 0.8092) (multiplicity 8)
Br (0.1847, 0.6745, 0.9441) (multiplicity 8)

---

# 3
Starting from a crystal structure in Alexandria, relaxed with GGA-PBE, the powder X-ray diffraction pattern of BaSmC2O6F was calculated for copper Kα.
Lines closer than 0.1° are merged.

Top 10 peaks for 15° ≤ 2θ ≤ 90°, by angle:
| 2theta | I_rel | hkl |
| --- | --- | --- |
| 22.3 | 95 | 1 0 4 |
| 27.5 | 100 | 0 1 8 |
| 35.4 | 52 | 1 1 0 |
| 42.2 | 39 | 0 2 4 |
| 42.9 | 36 | 1 0 16 |
| 45.4 | 22 | 2 0 8 |
| 45.7 | 46 | 1 1 12 |
| 56.3 | 22 | 2 1 4 |
| 58.9 | 18 | 1 2 8 |
| 68.8 | 16 | 2 1 16 |

Atomic structure:
Lattice parameters (Å, degrees): 5.0672 5.0672 38.4330 90.00 90.00 120.00
Space group R-3m (No. 166, hexagonal axes)
Unique sites:
Ba (0.0000, 0.0000, 0.0000) (multiplicity 3)
Ba (0.0000, 0.0000, 0.5000) (multiplicity 3)
Sm (0.0000, 0.0000, 0.2451) (multiplicity 6)
C (0.0000, 0.0000, 0.1065) (multiplicity 6)
C (0.0000, 0.0000, 0.3747) (multiplicity 6)
O (0.0379, 0.5190, 0.0404) (multiplicity 18)
O (0.0387, 0.5193, 0.7723) (multiplicity 18)
F (0.0000, 0.0000, 0.1859) (multiplicity 6)

---

# 4
Starting from a crystal structure in Alexandria, relaxed with GGA-PBE, the powder X-ray diffraction pattern of CuPbS3 was calculated for copper Kα.
Lines closer than 0.1° are merged.

Top 10 peaks for 15° ≤ 2θ ≤ 90°, by angle:
| 2theta | I_rel | hkl |
| --- | --- | --- |
| 19.2 | 18 | 1 0 0 |
| 27.3 | 100 | 1 1 0 |
| 33.6 | 38 | 1 1 1 |
| 38.9 | 47 | 2 0 0 |
| 48.2 | 44 | 2 1 1 |
| 56.2 | 31 | 2 2 0 |
| 63.6 | 19 | 3 1 0 |
| 67.1 | 15 | 3 1 1 |
| 77.2 | 22 | 3 2 1 |
| 90.0 | 12 | 4 1 1 |

Atomic structure:
Lattice parameters (Å, degrees): 4.6256 4.6256 4.6256 90.00 90.00 90.00
Space group Pm-3m (No. 221)
Unique sites:
Cu (0.0000, 0.0000, 0.0000) (multiplicity 1)
Pb (0.5000, 0.5000, 0.5000) (multiplicity 1)
S (0.0000, 0.0000, 0.5000) (multiplicity 3)

---

# 5
Starting from a crystal structure in Alexandria, relaxed with GGA-PBE, the powder X-ray diffraction pattern of Y4Tm4Cd was calculated for copper Kα.
Lines closer than 0.1° are merged.

Top 10 peaks for 15° ≤ 2θ ≤ 90°, by angle:
| 2theta | I_rel | hkl |
| --- | --- | --- |
| 31.4 | 100 | 3 0 1 |
| 36.2 | 34 | 3 3 0 |
| 36.8 | 16 | 0 0 2 |
| 52.2 | 12 | 6 0 0 |
| 52.6 | 23 | 3 3 2 |
| 62.2 | 28 | 6 3 1 |
| 63.0 | 13 | 3 0 3 |
| 65.6 | 12 | 6 0 2 |
| 85.4 | 6 | 9 0 1 |
| 86.1 | 11 | 6 3 3 |

Atomic structure:
Lattice parameters (Å, degrees): 10.5215 10.5215 4.8799 90.00 90.00 90.00
Space group I4/mmm (No. 139)
Unique sites:
Y (0.1636, 0.1636, 0.0000) (multiplicity 8)
Tm (0.0000, 0.3362, 0.5000) (multiplicity 8)
Cd (0.0000, 0.0000, 0.5000) (multiplicity 2)

---

# 6
Starting from a crystal structure in Alexandria, relaxed with GGA-PBE, the powder X-ray diffraction pattern of ZnCu2Pt5 was calculated for copper Kα.
Lines closer than 0.1° are merged.

Top 10 peaks for 15° ≤ 2θ ≤ 90°, by angle:
| 2theta | I_rel | hkl |
| --- | --- | --- |
| 23.0 | 18 | 1 2 0 |
| 32.6 | 17 | 1 2 1 |
| 40.2 | 98 | 2 0 1 |
| 40.4 | 100 | 0 4 1 |
| 46.5 | 34 | 0 0 2 |
| 47.0 | 62 | 2 4 0 |
| 68.3 | 41 | 2 4 2 |
| 82.0 | 13 | 0 4 3 |
| 82.6 | 21 | 4 4 1 |
| 82.9 | 23 | 2 8 1 |

Atomic structure:
Lattice parameters (Å, degrees): 5.4809 10.8998 3.9082 90.00 90.00 90.00
Space group Pbam (No. 55)
Unique sites:
Zn (0.0000, 0.0000, 0.0000) (multiplicity 2)
Cu (0.2327, 0.3729, 0.5000) (multiplicity 4)
Pt (0.0000, 0.5000, 0.0000) (multiplicity 2)
Pt (0.0193, 0.7545, 0.0000) (multiplicity 4)
Pt (0.2316, 0.1205, 0.5000) (multiplicity 4)

---

# 7
Starting from a crystal structure in Alexandria, relaxed with GGA-PBE, the powder X-ray diffraction pattern of Sm8Ir3Pb2 was calculated for copper Kα.
Lines closer than 0.1° are merged.

Top 10 peaks for 15° ≤ 2θ ≤ 90°, by angle:
| 2theta | I_rel | hkl |
| --- | --- | --- |
| 21.2 | 27 | 0 2 1 |
| 34.5 | 100 | 2 4 1 |
| 35.8 | 24 | 4 0 0 |
| 36.0 | 24 | 0 0 2 |
| 43.6 | 8 | 2 6 1 |
| 47.3 | 8 | 0 8 0 |
| 51.7 | 17 | 4 0 2 |
| 63.5 | 17 | 6 4 1 |
| 63.8 | 17 | 2 4 3 |
| 72.7 | 9 | 4 8 2 |

Atomic structure:
Lattice parameters (Å, degrees): 10.0267 15.3789 4.9870 90.00 90.00 90.00
Space group Cmmm (No. 65)
Unique sites:
Sm (0.0000, 0.1077, 0.0000) (multiplicity 4)
Sm (0.0000, 0.3881, 0.0000) (multiplicity 4)
Sm (0.2441, 0.3899, 0.5000) (multiplicity 8)
Ir (0.0000, 0.5000, 0.5000) (multiplicity 2)
Ir (0.2485, 0.0000, 0.0000) (multiplicity 4)
Pb (0.0000, 0.2433, 0.5000) (multiplicity 4)

---

# 8
Starting from a crystal structure in Alexandria, relaxed with GGA-PBE, the powder X-ray diffraction pattern of RbHF6 was calculated for copper Kα.
Lines closer than 0.1° are merged.

Top 10 peaks for 15° ≤ 2θ ≤ 90°, by angle:
| 2theta | I_rel | hkl |
| --- | --- | --- |
| 19.2 | 49 | 1 1 0 |
| 21.8 | 39 | 0 2 0 |
| 23.4 | 78 | 2 0 -1 |
| 31.0 | 100 | 0 2 1 |
| 36.7 | 37 | 1 1 1 |
| 38.8 | 36 | 3 1 -1 |
| 39.1 | 25 | 2 2 0 |
| 39.3 | 22 | 2 2 -2 |
| 49.9 | 22 | 0 4 1 |
| 50.6 | 32 | 3 3 -2 |

Atomic structure:
Lattice parameters (Å, degrees): 7.5915 8.1715 5.5457 90.00 132.63 90.00
Space group C2/m (No. 12)
Unique sites:
Rb (0.0000, 0.0000, 0.0000) (multiplicity 2)
H (0.0000, 0.5000, 0.0000) (multiplicity 2)
F (0.1820, 0.5000, 0.0720) (multiplicity 4)
F (0.2406, 0.3129, 0.3882) (multiplicity 8)

---

# 9
Starting from a crystal structure in Alexandria, relaxed with GGA-PBE, the powder X-ray diffraction pattern of PrHo12Er2 was calculated for copper Kα.
Lines closer than 0.1° are merged.

Top 10 peaks for 15° ≤ 2θ ≤ 90°, by angle:
| 2theta | I_rel | hkl |
| --- | --- | --- |
| 30.5 | 100 | 0 1 7 |
| 31.3 | 44 | 1 1 -3 |
| 32.3 | 68 | 0 2 0 |
| 32.4 | 39 | 1 0 5 |
| 32.7 | 71 | 1 1 3 |
| 33.8 | 32 | 0 1 8 |
| 46.4 | 29 | 1 2 5 |
| 51.5 | 18 | 2 0 -1 |
| 60.3 | 21 | 1 1 13 |
| 62.1 | 21 | 2 2 -1 |

Atomic structure:
Lattice parameters (Å, degrees): 3.5464 5.5425 24.2298 90.00 94.14 90.00
Space group P2/m (No. 10)
Unique sites:
Pr (0.0000, 0.0000, 0.0000) (multiplicity 1)
Ho (0.0726, 0.0000, 0.1394) (multiplicity 2)
Ho (0.1031, 0.5000, 0.2029) (multiplicity 2)
Ho (0.1690, 0.5000, 0.3308) (multiplicity 2)
Ho (0.2171, 0.0000, 0.4252) (multiplicity 2)
Ho (0.2737, 0.5000, 0.5550) (multiplicity 2)
Ho (0.4600, 0.5000, 0.9241) (multiplicity 2)
Er (0.3611, 0.0000, 0.7276) (multiplicity 2)

---

# 10
Starting from a crystal structure in Alexandria, relaxed with GGA-PBE, the powder X-ray diffraction pattern of IrRu4W was calculated for copper Kα.
Lines closer than 0.1° are merged.

Top 10 peaks for 15° ≤ 2θ ≤ 90°, by angle:
| 2theta | I_rel | hkl |
| --- | --- | --- |
| 23.9 | 8 | 1 0 2 |
| 37.7 | 25 | 0 0 6 |
| 41.4 | 25 | 2 0 0 |
| 43.2 | 100 | 1 1 3 |
| 57.2 | 15 | 2 0 6 |
| 68.1 | 11 | 0 1 9 |
| 76.7 | 18 | 3 1 3 |
| 82.8 | 7 | 2 2 0 |
| 82.9 | 13 | 2 1 9 |
| 84.0 | 10 | 1 2 6 |

Atomic structure:
Lattice parameters (Å, degrees): 4.3635 2.7593 14.2960 90.00 90.00 90.00
Space group Amm2 (No. 38)
Unique sites:
Ir (0.0000, 0.0000, 0.0000) (multiplicity 2)
Ru (0.0000, 0.0000, 0.3315) (multiplicity 2)
Ru (0.0000, 0.0000, 0.6663) (multiplicity 2)
Ru (0.5000, 0.0000, 0.5522) (multiplicity 2)
Ru (0.5000, 0.0000, 0.8863) (multiplicity 2)
W (0.5000, 0.0000, 0.2222) (multiplicity 2)

---

# 11
Starting from a crystal structure in Alexandria, relaxed with GGA-PBE, the powder X-ray diffraction pattern of YPuGaHg was calculated for copper Kα.
Lines closer than 0.1° are merged.

Top 10 peaks for 15° ≤ 2θ ≤ 90°, by angle:
| 2theta | I_rel | hkl |
| --- | --- | --- |
| 20.9 | 22 | 1 1 1 |
| 34.4 | 100 | 2 2 0 |
| 40.6 | 13 | 3 1 1 |
| 49.5 | 18 | 4 0 0 |
| 54.3 | 6 | 3 3 1 |
| 61.7 | 38 | 4 2 2 |
| 65.9 | 5 | 5 1 1 |
| 72.6 | 12 | 4 4 0 |
| 76.5 | 5 | 5 3 1 |
| 82.9 | 17 | 6 2 0 |

Atomic structure:
Lattice parameters (Å, degrees): 7.3675 7.3675 7.3675 90.00 90.00 90.00
Space group F-43m (No. 216)
Unique sites:
Y (0.0000, 0.0000, 0.0000) (multiplicity 4)
Pu (0.0000, 0.0000, 0.5000) (multiplicity 4)
Ga (0.2500, 0.2500, 0.2500) (multiplicity 4)
Hg (0.2500, 0.2500, 0.7500) (multiplicity 4)

---

# 12
Starting from a crystal structure in Alexandria, relaxed with GGA-PBE, the powder X-ray diffraction pattern of Sm3YO was calculated for copper Kα.
Lines closer than 0.1° are merged.

Top 10 peaks for 15° ≤ 2θ ≤ 90°, by angle:
| 2theta | I_rel | hkl |
| --- | --- | --- |
| 17.6 | 6 | 1 0 0 |
| 30.7 | 100 | 1 1 1 |
| 35.6 | 57 | 2 0 0 |
| 40.0 | 3 | 2 1 0 |
| 51.3 | 40 | 2 2 0 |
| 60.9 | 43 | 3 1 1 |
| 64.0 | 14 | 2 2 2 |
| 75.4 | 6 | 4 0 0 |
| 83.6 | 18 | 3 3 1 |
| 86.3 | 18 | 4 2 0 |

Atomic structure:
Lattice parameters (Å, degrees): 5.0415 5.0415 5.0415 90.00 90.00 90.00
Space group Pm-3m (No. 221)
Unique sites:
Sm (0.0000, 0.0000, 0.5000) (multiplicity 3)
Y (0.5000, 0.5000, 0.5000) (multiplicity 1)
O (0.0000, 0.0000, 0.0000) (multiplicity 1)